The following is a computed X-ray diffraction stick pattern of KHg2MoF8. It was derived from a structure optimized by DFT (PBE+U), using Cu Kα X-rays.
Lines closer than 0.1° are merged.

Cell and atoms:
Cell lengths 4.754, 5.486, 7.615 Å; angles 91.15, 90.33, 90.83 degrees
Space group P-1 (No. 2)
Symmetry-distinct sites (fractional):
K: 0.000 0.000 0.000 [1 per cell]
Hg: 0.492 0.494 0.752 [2 per cell]
Mo: 0.000 0.000 0.500 [1 per cell]
F: 0.127 0.766 0.294 [2 per cell]
F: 0.130 0.770 0.701 [2 per cell]
F: 0.353 0.245 0.504 [2 per cell]
F: 0.455 0.259 0.006 [2 per cell]

Principal peaks in the range 2θ from 15° to 90°, in order of falling intensity:
(1 1 0), 24.97 deg, I = 100
(1 -1 0), 24.61 deg, I = 93
(0 1 -2), 28.27 deg, I = 66
(0 1 2), 28.82 deg, I = 62
(0 1 0), 16.16 deg, I = 51
(1 0 0), 18.67 deg, I = 42